Nb4Tl4O13: theoretical XRD peak list (Cu Kα (λ = 1.5418 Å)), based on DFT lattice parameters and positions (PBE).
Neutral-atom scattering factors, no anomalous dispersion.

Structural model:
```
Nb4Tl4O13
1.0
0.000 5.397 5.397
5.397 0.000 5.397
5.397 5.397 0.000
Nb Tl O
4 4 13
Cartesian
1.351 1.351 1.351 Nb
4.046 4.046 1.351 Nb
4.046 1.351 4.046 Nb
1.351 4.046 4.046 Nb
6.725 4.070 4.070 Tl
4.070 6.725 4.070 Tl
4.070 4.070 6.725 Tl
6.725 6.725 6.725 Tl
2.699 2.699 0.691 O
2.699 0.691 2.699 O
4.707 2.699 2.699 O
5.397 5.397 2.007 O
5.397 2.007 5.397 O
8.787 5.397 5.397 O
0.691 2.699 2.699 O
2.699 4.707 2.699 O
2.699 2.699 4.707 O
8.096 8.096 8.096 O
2.007 5.397 5.397 O
5.397 8.787 5.397 O
5.397 5.397 8.787 O
```

Largest 10 diffraction maxima, sorted by position, 10 to 80 degrees two-theta:
6.232 Å, I = 8.2
3.255 Å, I = 8.0
3.116 Å, I = 100.0
2.699 Å, I = 38.8
2.476 Å, I = 9.8
1.908 Å, I = 41.7
1.627 Å, I = 44.7
1.558 Å, I = 12.7
1.238 Å, I = 18.0
1.207 Å, I = 16.4